1.
Computed PXRD pattern
Compound: Sc2V2Ru
Radiation: Cu Kα, 1.54184 Å
Structure: a cell relaxed with GGA-PBE

Atomic structure:
Unit cell a=6.164 b=6.164 c=4.679 alpha=90.00 beta=90.00 gamma=90.00
Fractional coordinates of all 10 atoms:
Sc  0.171  0.329  0.000
Sc  0.329  0.829  0.000
Sc  0.671  0.171  0.000
Sc  0.829  0.671  0.000
V  0.136  0.636  0.500
V  0.364  0.136  0.500
V  0.636  0.864  0.500
V  0.864  0.364  0.500
Ru  0.000  0.000  0.500
Ru  0.500  0.500  0.500

Principal peaks in the range 2θ from 10° to 90°, most intense first:
2θ/deg	I (rel.)
37.88	100
34.86	62
46.60	55
38.48	52
18.97	50
61.97	44
27.98	37
50.74	29
41.44	17
82.42	17
69.21	14
57.82	12

=====

2.
Computed PXRD pattern
Compound: Y5ScRu6
Radiation: Cu Kα, 1.54184 Å
Structure: a cell relaxed with GGA-PBE

Atomic structure:
Unit cell a=8.258 b=8.258 c=4.794 alpha=106.81 beta=106.81 gamma=119.92
Fractional coordinates of all 12 atoms:
Y  0.000  0.000  0.000
Y  0.167  0.833  0.500
Y  0.336  0.664  0.000
Y  0.664  0.336  0.000
Y  0.833  0.167  0.500
Sc  0.500  0.500  0.500
Ru  0.091  0.417  0.254
Ru  0.258  0.258  0.758
Ru  0.417  0.091  0.254
Ru  0.583  0.909  0.746
Ru  0.742  0.742  0.242
Ru  0.909  0.583  0.746

Principal peaks in the range 2θ from 10° to 90°, most intense first:
2θ/deg	I (rel.)
37.66	100
68.09	29
37.52	25
54.31	25
37.75	25
67.86	13
67.73	8
80.33	5
80.51	5
80.07	3
80.64	3
26.38	2

=====

3.
Computed PXRD pattern
Compound: Y3ScRu8
Radiation: Cu Kα, 1.54184 Å
Structure: a cell relaxed with GGA-PBE

Atomic structure:
Unit cell a=9.227 b=9.227 c=9.227 alpha=33.36 beta=33.36 gamma=33.36
Fractional coordinates of all 12 atoms:
Y  0.000  0.000  0.000
Y  0.126  0.126  0.126
Y  0.502  0.502  0.502
Sc  0.626  0.626  0.626
Ru  0.060  0.562  0.562
Ru  0.062  0.062  0.569
Ru  0.062  0.569  0.062
Ru  0.312  0.312  0.312
Ru  0.562  0.060  0.562
Ru  0.562  0.562  0.060
Ru  0.569  0.062  0.062
Ru  0.812  0.812  0.812

Principal peaks in the range 2θ from 10° to 90°, most intense first:
2θ/deg	I (rel.)
39.87	100
41.74	50
39.71	34
64.56	31
70.86	18
71.21	18
20.52	17
41.49	16
33.70	13
33.85	13
48.51	12
85.92	12

=====

4.
Computed PXRD pattern
Compound: Zr2ScRu
Radiation: Cu Kα, 1.54184 Å
Structure: a cell relaxed with GGA-PBE

Atomic structure:
Unit cell a=5.779 b=5.779 c=5.779 alpha=146.26 beta=129.48 gamma=62.13
Fractional coordinates of all 4 atoms:
Zr  0.213  0.213  0.000
Zr  0.787  0.787  0.000
Sc  0.500  0.000  0.500
Ru  0.000  0.500  0.500

Principal peaks in the range 2θ from 10° to 90°, most intense first:
2θ/deg	I (rel.)
37.16	100
36.43	30
20.11	25
36.29	18
66.04	17
38.26	15
67.52	15
53.84	13
52.37	12
49.61	12
54.74	9
79.17	7

=====

5.
Computed PXRD pattern
Compound: ZrSc3Ru4
Radiation: Cu Kα, 1.54184 Å
Structure: a cell relaxed with GGA-PBE

Atomic structure:
Unit cell a=7.887 b=7.887 c=7.887 alpha=33.68 beta=33.68 gamma=33.68
Fractional coordinates of all 8 atoms:
Zr  0.000  0.000  0.000
Sc  0.248  0.248  0.248
Sc  0.500  0.500  0.500
Sc  0.752  0.752  0.752
Ru  0.124  0.124  0.124
Ru  0.374  0.374  0.374
Ru  0.626  0.626  0.626
Ru  0.876  0.876  0.876

Principal peaks in the range 2θ from 10° to 90°, most intense first:
2θ/deg	I (rel.)
39.44	100
39.55	99
71.57	48
57.08	32
27.64	22
71.81	16
84.88	10
85.16	10
48.84	5
64.50	4
64.66	4
11.91	4

=====

6.
Computed PXRD pattern
Compound: Ru2Se
Radiation: Cu Kα, 1.54184 Å
Structure: a cell relaxed with GGA-PBE

Atomic structure:
Unit cell a=5.407 b=4.136 c=7.836 alpha=90.00 beta=90.00 gamma=90.00
Fractional coordinates of all 12 atoms:
Ru  0.026  0.250  0.200
Ru  0.147  0.250  0.581
Ru  0.353  0.750  0.081
Ru  0.474  0.750  0.700
Ru  0.526  0.250  0.300
Ru  0.647  0.250  0.919
Ru  0.853  0.750  0.419
Ru  0.974  0.750  0.800
Se  0.205  0.250  0.899
Se  0.295  0.750  0.399
Se  0.705  0.250  0.601
Se  0.795  0.750  0.101

Principal peaks in the range 2θ from 10° to 90°, most intense first:
2θ/deg	I (rel.)
40.86	100
41.54	72
43.78	59
39.83	58
35.67	43
48.46	27
40.54	23
67.34	20
38.27	18
78.89	17
75.20	15
78.44	14

=====

7.
Computed PXRD pattern
Compound: Ru2Se
Radiation: Cu Kα, 1.54184 Å
Structure: a cell relaxed with GGA-PBE

Atomic structure:
Unit cell a=3.980 b=3.980 c=7.217 alpha=90.00 beta=90.00 gamma=120.00
Fractional coordinates of all 6 atoms:
Ru  0.333  0.667  0.067
Ru  0.333  0.667  0.433
Ru  0.667  0.333  0.567
Ru  0.667  0.333  0.933
Se  0.000  0.000  0.250
Se  0.000  0.000  0.750

Principal peaks in the range 2θ from 10° to 90°, most intense first:
2θ/deg	I (rel.)
36.04	100
45.59	95
46.01	65
28.71	45
59.44	23
84.60	22
66.78	21
77.98	20
84.30	16
70.77	14
57.67	9
88.33	8

=====

8.
Computed PXRD pattern
Compound: Ru5Se
Radiation: Cu Kα, 1.54184 Å
Structure: a cell relaxed with GGA-PBE

Atomic structure:
Unit cell a=5.157 b=5.157 c=6.530 alpha=106.76 beta=106.76 gamma=31.67
Fractional coordinates of all 6 atoms:
Ru  0.000  0.000  0.000
Ru  0.053  0.053  0.647
Ru  0.331  0.331  0.674
Ru  0.432  0.432  0.304
Ru  0.731  0.731  0.966
Se  0.688  0.688  0.332

Principal peaks in the range 2θ from 10° to 90°, most intense first:
2θ/deg	I (rel.)
42.41	100
43.07	92
37.44	81
40.37	77
43.58	67
44.86	53
69.74	29
55.69	24
66.44	20
82.87	20
80.70	20
82.44	19